# Tb2Pu3ScTe6
Computed powder diffraction line list, CuKα. Input: a structure optimized by DFT (GGA-PBE).
Lines closer than 0.1° are merged.

Most intense lines, 2θ from 10° to 90°, in order of rising 2θ:
d 3.088, 28.9 deg, intensity 100, hkl 1 1 -2; d 2.195, 41.1 deg, intensity 39, hkl 7 1 -2; d 2.172, 41.6 deg, intensity 38, hkl 0 2 0; d 1.777, 51.4 deg, intensity 20, hkl 6 2 0; d 1.544, 59.9 deg, intensity 13, hkl 2 2 -4; d 1.387, 67.5 deg, intensity 17, hkl 8 2 -4; d 1.375, 68.2 deg, intensity 17, hkl 1 3 -2; d 1.258, 75.6 deg, intensity 13, hkl 7 3 -2

Structural model:
```
data_Tb2Pu3ScTe6
_chemical_formula_sum 'Tb4 Pu6 Sc2 Te12'
_symmetry_space_group_name_H-M 'C 1 2/m 1'
_symmetry_Int_Tables_number 12
_cell_length_a 19.104
_cell_length_b 4.345
_cell_length_c 8.781
_cell_angle_alpha 90.00
_cell_angle_beta 104.16
_cell_angle_gamma 90.00
loop_
_symmetry_equiv_pos_as_xyz
'x,y,z'
'-x,-y,-z'
'-x,y,-z'
'x,-y,z'
'x+1/2,y+1/2,z'
'-x+1/2,-y+1/2,-z'
'-x+1/2,y+1/2,-z'
'x+1/2,-y+1/2,z'
loop_
_atom_site_label
_atom_site_fract_x
_atom_site_fract_y
_atom_site_fract_z
Tb1 0.166 0.000 0.333
Pu1 0.000 0.500 0.500
Pu2 0.170 0.000 0.836
Sc1 0.000 0.500 0.000
Te1 0.001 0.000 0.763
Te2 0.161 0.500 0.083
Te3 0.168 0.500 0.582
```

# Tb3Tm6PuSc2
Computed powder diffraction line list, CuKα. Input: a structure optimized by DFT (GGA-PBE).
Lines closer than 0.1° are merged.

Most intense lines, 2θ from 10° to 90°, in order of rising 2θ:
d 2.821, 31.7 deg, intensity 100, hkl 1 3 1; d 2.814, 31.8 deg, intensity 32, hkl 0 0 4; d 2.442, 36.8 deg, intensity 66, hkl 2 0 2; d 1.728, 53.0 deg, intensity 31, hkl 0 6 0; d 1.725, 53.1 deg, intensity 15, hkl 1 3 5; d 1.473, 63.1 deg, intensity 41, hkl 4 0 0; d 1.471, 63.2 deg, intensity 13, hkl 2 0 6; d 1.411, 66.3 deg, intensity 12, hkl 2 6 2

Structural model:
```
data_Tb3Tm6PuSc2
_chemical_formula_sum 'Tb6 Tm12 Pu2 Sc4'
_symmetry_space_group_name_H-M 'C 1 2/m 1'
_symmetry_Int_Tables_number 12
_cell_length_a 5.987
_cell_length_b 10.369
_cell_length_c 11.433
_cell_angle_alpha 90.00
_cell_angle_beta 100.08
_cell_angle_gamma 90.00
loop_
_symmetry_equiv_pos_as_xyz
'x,y,z'
'-x,-y,-z'
'-x,y,-z'
'x,-y,z'
'x+1/2,y+1/2,z'
'-x+1/2,-y+1/2,-z'
'-x+1/2,y+1/2,-z'
'x+1/2,-y+1/2,z'
loop_
_atom_site_label
_atom_site_fract_x
_atom_site_fract_y
_atom_site_fract_z
Tb1 0.000 0.000 0.000
Tb2 0.000 0.332 0.000
Tm1 0.247 0.334 0.743
Tm2 0.249 0.000 0.743
Pu1 0.000 0.500 0.500
Sc1 0.000 0.167 0.500
```

# PuScTe3
Computed powder diffraction line list, CuKα. Input: a structure optimized by DFT (GGA-PBE).
Lines closer than 0.1° are merged.

Most intense lines, 2θ from 10° to 90°, in order of rising 2θ:
d 8.825, 10.0 deg, intensity 50, hkl 0 0 2; d 4.407, 20.1 deg, intensity 39, hkl 0 0 4; d 4.109, 21.6 deg, intensity 20, hkl 0 1 1; d 3.095, 28.8 deg, intensity 100, hkl 2 1 0; d 2.942, 30.4 deg, intensity 44, hkl 0 0 6; d 2.274, 39.6 deg, intensity 19, hkl 4 0 0; d 2.132, 42.4 deg, intensity 68, hkl 2 1 6; d 1.799, 50.7 deg, intensity 18, hkl 4 0 6

Structural model:
```
data_PuScTe3
_chemical_formula_sum 'Pu4 Sc4 Te12'
_symmetry_space_group_name_H-M 'P n m a'
_symmetry_Int_Tables_number 62
_cell_length_a 9.095
_cell_length_b 4.225
_cell_length_c 17.650
_cell_angle_alpha 90.00
_cell_angle_beta 90.00
_cell_angle_gamma 90.00
loop_
_symmetry_equiv_pos_as_xyz
'x,y,z'
'-x,-y,-z'
'-x+1/2,-y,z+1/2'
'x+1/2,y,-z+1/2'
'x+1/2,-y+1/2,-z+1/2'
'-x+1/2,y+1/2,z+1/2'
'-x,y+1/2,-z'
'x,-y+1/2,z'
loop_
_atom_site_label
_atom_site_fract_x
_atom_site_fract_y
_atom_site_fract_z
Pu1 0.127 0.250 0.245
Sc1 0.127 0.250 0.581
Te1 0.106 0.250 0.418
Te2 0.124 0.250 0.755
Te3 0.154 0.250 0.075
```

# PuTh8Sc5
Computed powder diffraction line list, CuKα. Input: a structure optimized by DFT (GGA-PBE).
Lines closer than 0.1° are merged.

Most intense lines, 2θ from 10° to 90°, in order of rising 2θ:
d 5.557, 15.9 deg, intensity 51, hkl 0 2 0; d 3.622, 24.6 deg, intensity 47, hkl 3 1 -2; d 3.410, 26.1 deg, intensity 52, hkl 2 2 0; d 2.795, 32.0 deg, intensity 45, hkl 3 1 0; d 2.755, 32.5 deg, intensity 57, hkl 2 0 1; d 2.704, 33.1 deg, intensity 47, hkl 0 2 2; d 2.687, 33.3 deg, intensity 82, hkl 1 3 -2; d 2.664, 33.6 deg, intensity 100, hkl 3 3 -1

Structural model:
```
data_PuTh8Sc5
_chemical_formula_sum 'Pu2 Th16 Sc10'
_symmetry_space_group_name_H-M 'C 1 2 1'
_symmetry_Int_Tables_number 5
_cell_length_a 12.091
_cell_length_b 11.113
_cell_length_c 8.638
_cell_angle_alpha 90.00
_cell_angle_beta 134.23
_cell_angle_gamma 90.00
loop_
_symmetry_equiv_pos_as_xyz
'x,y,z'
'-x,y,-z'
'x+1/2,y+1/2,z'
'-x+1/2,y+1/2,-z'
loop_
_atom_site_label
_atom_site_fract_x
_atom_site_fract_y
_atom_site_fract_z
Pu1 0.000 0.000 0.000
Th1 0.054 0.812 0.803
Th2 0.083 0.469 0.902
Th3 0.188 0.245 0.261
Th4 0.192 0.342 0.627
Sc1 0.000 0.589 0.500
Sc2 0.110 0.154 0.820
Sc3 0.208 0.036 0.567
```

# PuTh2Sc7
Computed powder diffraction line list, CuKα. Input: a structure optimized by DFT (GGA-PBE).
Lines closer than 0.1° are merged.

Most intense lines, 2θ from 10° to 90°, in order of rising 2θ:
d 3.159, 28.3 deg, intensity 24, hkl 1 1 1; d 3.103, 28.8 deg, intensity 13, hkl 0 1 3; d 2.731, 32.8 deg, intensity 100, hkl 1 1 2; d 2.693, 33.3 deg, intensity 32, hkl 0 2 -2; d 2.368, 38.0 deg, intensity 45, hkl 1 3 0; d 2.334, 38.6 deg, intensity 21, hkl 0 1 4; d 1.670, 55.0 deg, intensity 15, hkl 1 4 4; d 1.416, 66.0 deg, intensity 13, hkl 1 5 -2

Structural model:
```
data_PuTh2Sc7
_chemical_formula_sum 'Pu1 Th2 Sc7'
_symmetry_space_group_name_H-M 'P -1'
_symmetry_Int_Tables_number 2
_cell_length_a 3.372
_cell_length_b 8.829
_cell_length_c 9.338
_cell_angle_alpha 73.94
_cell_angle_beta 89.99
_cell_angle_gamma 79.04
loop_
_symmetry_equiv_pos_as_xyz
'x,y,z'
'-x,-y,-z'
loop_
_atom_site_label
_atom_site_fract_x
_atom_site_fract_y
_atom_site_fract_z
Pu1 0.000 0.000 0.000
Th1 0.196 0.609 0.102
Sc1 0.000 0.000 0.500
Sc2 0.199 0.603 0.597
Sc3 0.399 0.200 0.202
Sc4 0.403 0.193 0.694
```

# PuThSc3
Computed powder diffraction line list, CuKα. Input: a structure optimized by DFT (GGA-PBE).
Lines closer than 0.1° are merged.

Most intense lines, 2θ from 10° to 90°, in order of rising 2θ:
d 6.022, 14.7 deg, intensity 57, hkl 0 1 1; d 5.111, 17.4 deg, intensity 79, hkl 1 0 1; d 3.288, 27.1 deg, intensity 48, hkl 0 2 0; d 2.794, 32.0 deg, intensity 72, hkl 1 1 4; d 2.765, 32.4 deg, intensity 100, hkl 1 2 1; d 2.718, 33.0 deg, intensity 44, hkl 2 0 0; d 2.627, 34.1 deg, intensity 87, hkl 1 0 5; d 2.475, 36.3 deg, intensity 72, hkl 0 2 4

Structural model:
```
data_PuThSc3
_chemical_formula_sum 'Pu4 Th4 Sc12'
_symmetry_space_group_name_H-M 'I m m a'
_symmetry_Int_Tables_number 74
_symmetry_space_group_name_Hall '-I 2b 2'
_cell_length_a 5.436
_cell_length_b 6.575
_cell_length_c 15.000
_cell_angle_alpha 90.00
_cell_angle_beta 90.00
_cell_angle_gamma 90.00
loop_
_atom_site_label
_atom_site_fract_x
_atom_site_fract_y
_atom_site_fract_z
Pu1 0.000 0.250 0.197
Th1 0.000 0.250 0.986
Sc1 0.000 0.014 0.400
Sc2 0.250 0.250 0.750
```